For NaV2AsO8, DFT lattice parameters and positions (PBE+U) gives the simulated powder X-ray diffraction pattern in this record (Cu Kα).

Top 6 peaks for 2θ from 10° to 80°, in order of rising 2θ:
12.7°, 6.943 Å, I = 84.2
23.0°, 3.869 Å, I = 100.0
24.3°, 3.669 Å, I = 60.9
32.1°, 2.792 Å, I = 27.7
32.2°, 2.781 Å, I = 85.3
35.2°, 2.548 Å, I = 48.9

Cell and atoms:
a b c (Å): 8.6004 5.5629 6.9433
angles (deg): 90.00 90.46 90.00
Space group C2/m (No. 12)
Asymmetric unit:
Na  0.0000  0.0000  0.0000 x2
V  0.1417  0.5000  0.7129 x4
As  0.0000  0.0000  0.5000 x2
O  0.0241  0.2302  0.6908 x8
O  0.2130  0.0000  0.4613 x4
O  0.2160  0.5000  0.9304 x4

For NaVAsO5, DFT lattice parameters and positions (PBE+U) gives the simulated powder X-ray diffraction pattern in this record (Cu Kα).

Top 6 peaks for 2θ from 10° to 80°, in order of rising 2θ:
18.2°, 4.878 Å, I = 81.5
25.6°, 3.483 Å, I = 49.3
27.2°, 3.280 Å, I = 100.0
28.7°, 3.106 Å, I = 93.8
33.5°, 2.677 Å, I = 94.5
34.2°, 2.623 Å, I = 60.5

Cell and atoms:
a b c (Å): 6.8039 8.8995 7.1134
angles (deg): 90.00 114.06 90.00
Space group C2/c (No. 15)
Asymmetric unit:
Na  0.0000  0.1744  0.2500 x4
V  0.0000  0.5000  0.0000 x4
As  0.0000  0.1828  0.7500 x4
O  0.0000  0.4440  0.2500 x4
O  0.1056  0.2909  0.6116 x8
O  0.1893  0.0629  0.9160 x8